(1)
The following is a calculated powder diffraction line list of CsHo. It was derived from DFT lattice parameters and positions (PBE), using CuKα.

Largest 10 diffraction maxima, low angle first, 2θ = 10–90°:
2theta, I/Imax
23.83, 39
27.21, 22
29.77, 100
36.48, 20
45.78, 30
48.08, 18
54.35, 24
57.58, 15
70.92, 11
78.22, 13

Structural model:
abc: 3.785 3.785 7.467
angles: 90.00 90.00 120.00
Fractional coordinates of all 2 atoms:
Cs: 0.000 0.000 0.000
Ho: 0.667 0.333 0.500

(2)
The following is a calculated powder diffraction line list of Tb2Pm4Sc3. It was derived from DFT lattice parameters and positions (PBE), using CuKα.

Largest 10 diffraction maxima, low angle first, 2θ = 10–90°:
2theta, I/Imax
31.31, 100
36.00, 17
36.30, 17
36.62, 16
52.05, 12
52.29, 12
61.81, 14
62.20, 14
62.63, 13
65.31, 12

Structural model:
abc: 6.036 6.036 10.458
angles: 106.35 106.35 48.83
Fractional coordinates of all 9 atoms:
Tb: 0.170 0.170 0.228
Tb: 0.830 0.830 0.772
Pm: 0.166 0.166 0.887
Pm: 0.495 0.495 0.664
Pm: 0.505 0.505 0.336
Pm: 0.834 0.834 0.113
Sc: 0.164 0.164 0.552
Sc: 0.500 0.500 0.000
Sc: 0.836 0.836 0.448

(3)
The following is a calculated powder diffraction line list of ScPa3Se4. It was derived from DFT lattice parameters and positions (PBE), using CuKα.

Largest 10 diffraction maxima, low angle first, 2θ = 10–90°:
2theta, I/Imax
26.02, 8
27.35, 14
31.50, 100
43.87, 27
44.71, 13
45.54, 12
46.43, 23
56.45, 13
65.73, 8
72.89, 12

Structural model:
abc: 7.242 7.968 6.736
angles: 90.00 108.96 90.00
Fractional coordinates of all 16 atoms:
Sc: 0.000 0.125 0.250
Sc: 0.000 0.875 0.750
Pa: 0.000 0.377 0.750
Pa: 0.000 0.623 0.250
Pa: 0.500 0.125 0.750
Pa: 0.500 0.378 0.250
Pa: 0.500 0.622 0.750
Pa: 0.500 0.875 0.250
Se: 0.235 0.119 0.999
Se: 0.235 0.881 0.499
Se: 0.242 0.366 0.492
Se: 0.242 0.634 0.992
Se: 0.758 0.366 0.008
Se: 0.758 0.634 0.508
Se: 0.765 0.119 0.501
Se: 0.765 0.881 0.001

(4)
The following is a calculated powder diffraction line list of NiHgBPC. It was derived from DFT lattice parameters and positions (PBE), using CuKα.

Largest 10 diffraction maxima, low angle first, 2θ = 10–90°:
2theta, I/Imax
11.42, 91
22.96, 17
33.14, 26
34.74, 25
35.16, 100
40.70, 66
48.77, 23
58.64, 21
59.20, 19
70.50, 19

Structural model:
abc: 3.122 3.122 7.747
angles: 90.00 90.00 120.00
Fractional coordinates of all 5 atoms:
Ni: 0.000 0.000 0.000
Hg: 0.667 0.333 0.709
B: 0.667 0.333 0.409
P: 0.333 0.667 0.332
C: 0.333 0.667 0.095

(5)
The following is a calculated powder diffraction line list of Hf7Zr. It was derived from DFT lattice parameters and positions (PBE), using CuKα.

Largest 10 diffraction maxima, low angle first, 2θ = 10–90°:
2theta, I/Imax
34.89, 66
35.56, 100
36.57, 44
36.79, 38
39.89, 19
43.24, 18
52.84, 24
65.89, 17
71.00, 28
71.61, 14

Structural model:
abc: 3.122 9.830 11.772
angles: 90.00 90.00 90.00
Fractional coordinates of all 16 atoms:
Hf: 0.000 0.000 0.000
Hf: 0.000 0.000 0.256
Hf: 0.000 0.000 0.744
Hf: 0.000 0.267 0.371
Hf: 0.000 0.267 0.629
Hf: 0.000 0.733 0.371
Hf: 0.000 0.733 0.629
Hf: 0.500 0.233 0.129
Hf: 0.500 0.233 0.871
Hf: 0.500 0.500 0.244
Hf: 0.500 0.500 0.500
Hf: 0.500 0.500 0.756
Hf: 0.500 0.767 0.129
Hf: 0.500 0.767 0.871
Zr: 0.000 0.500 0.000
Zr: 0.500 0.000 0.500

(6)
The following is a calculated powder diffraction line list of TbSm12Tl6. It was derived from DFT lattice parameters and positions (PBE), using CuKα.

Largest 10 diffraction maxima, low angle first, 2θ = 10–90°:
2theta, I/Imax
12.55, 36
26.74, 52
27.47, 100
30.73, 37
32.33, 76
32.91, 52
33.31, 80
34.86, 77
40.18, 68
55.07, 40

Structural model:
abc: 8.982 8.982 8.982
angles: 103.53 103.53 103.53
Fractional coordinates of all 19 atoms:
Tb: 0.000 0.000 0.000
Sm: 0.117 0.500 0.883
Sm: 0.117 0.883 0.500
Sm: 0.172 0.434 0.434
Sm: 0.434 0.172 0.434
Sm: 0.434 0.434 0.172
Sm: 0.500 0.117 0.883
Sm: 0.500 0.883 0.117
Sm: 0.566 0.566 0.828
Sm: 0.566 0.828 0.566
Sm: 0.828 0.566 0.566
Sm: 0.883 0.117 0.500
Sm: 0.883 0.500 0.117
Tl: 0.254 0.254 0.711
Tl: 0.254 0.711 0.254
Tl: 0.289 0.746 0.746
Tl: 0.711 0.254 0.254
Tl: 0.746 0.289 0.746
Tl: 0.746 0.746 0.289